LaU3: simulated powder X-ray diffraction pattern (Cu Kα), based on a structure optimized by DFT (GGA-PBE).

The 12 most intense peaks (5° ≤ 2θ ≤ 70°), in order of rising 2θ:
- 16.23°, rel. 11
- 32.47°, rel. 33
- 32.81°, rel. 22
- 36.51°, rel. 3
- 36.73°, rel. 100
- 46.83°, rel. 17
- 47.01°, rel. 5
- 52.98°, rel. 5
- 58.57°, rel. 16
- 60.74°, rel. 24
- 68.00°, rel. 4
- 68.58°, rel. 20

Structure:
abc: 6.305 6.305 5.515
angles: 90.00 90.00 120.00
Fractional positions:
La 0.333 0.667 0.250
La 0.667 0.333 0.750
U 0.151 0.303 0.750
U 0.151 0.849 0.750
U 0.303 0.151 0.250
U 0.697 0.849 0.750
U 0.849 0.151 0.250
U 0.849 0.697 0.250

=====

TmAu: simulated powder X-ray diffraction pattern (Cu Kα), based on a structure optimized by DFT (GGA-PBE).

The 4 most intense peaks (5° ≤ 2θ ≤ 70°), in order of rising 2θ:
- 25.01°, rel. 1
- 35.67°, rel. 100
- 51.33°, rel. 18
- 64.07°, rel. 37

Structure:
abc: 3.560 3.560 3.560
angles: 90.00 90.00 90.00
Fractional positions:
Tm 0.000 0.000 0.000
Au 0.500 0.500 0.500

=====

SiPd2: simulated powder X-ray diffraction pattern (Cu Kα), based on a structure optimized by DFT (GGA-PBE).

The 12 most intense peaks (5° ≤ 2θ ≤ 70°), in order of rising 2θ:
- 22.79°, rel. 26
- 31.99°, rel. 67
- 35.13°, rel. 100
- 39.64°, rel. 23
- 40.02°, rel. 30
- 48.24°, rel. 90
- 48.56°, rel. 15
- 52.12°, rel. 19
- 59.34°, rel. 18
- 66.89°, rel. 9
- 69.28°, rel. 8
- 69.54°, rel. 9

Structure:
abc: 7.805 7.805 2.797
angles: 90.00 90.00 120.00
Fractional positions:
Si 0.000 0.000 0.000
Si 0.333 0.667 0.500
Si 0.667 0.333 0.500
Pd 0.000 0.249 0.500
Pd 0.000 0.598 0.500
Pd 0.249 0.000 0.500
Pd 0.402 0.402 0.500
Pd 0.598 0.000 0.500
Pd 0.751 0.751 0.500

=====

YAg3P2S8: simulated powder X-ray diffraction pattern (Cu Kα), based on a structure optimized by DFT (GGA-PBE).

The 12 most intense peaks (5° ≤ 2θ ≤ 70°), in order of rising 2θ:
- 11.30°, rel. 54
- 12.31°, rel. 86
- 21.90°, rel. 59
- 22.09°, rel. 60
- 22.45°, rel. 48
- 28.29°, rel. 58
- 29.57°, rel. 78
- 29.82°, rel. 68
- 32.73°, rel. 89
- 34.81°, rel. 46
- 39.44°, rel. 100
- 40.01°, rel. 47

Structure:
abc: 9.797 9.797 9.491
angles: 118.96 118.96 56.96
Fractional positions:
Y 0.035 0.965 0.750
Y 0.965 0.035 0.250
Ag 0.230 0.464 0.225
Ag 0.430 0.570 0.750
Ag 0.464 0.230 0.725
Ag 0.536 0.770 0.275
Ag 0.570 0.430 0.250
Ag 0.770 0.536 0.775
P 0.144 0.660 0.932
P 0.340 0.856 0.568
P 0.660 0.144 0.432
P 0.856 0.340 0.068
S 0.074 0.261 0.019
S 0.102 0.629 0.687
S 0.135 0.783 0.421
S 0.217 0.865 0.079
S 0.261 0.074 0.519
S 0.321 0.429 0.977
S 0.371 0.898 0.813
S 0.429 0.321 0.477
S 0.571 0.679 0.523
S 0.629 0.102 0.187
S 0.679 0.571 0.023
S 0.739 0.926 0.481
S 0.783 0.135 0.921
S 0.865 0.217 0.579
S 0.898 0.371 0.313
S 0.926 0.739 0.981

=====

LiAgO2: simulated powder X-ray diffraction pattern (Cu Kα), based on a structure optimized by DFT (GGA-PBE).

The 12 most intense peaks (5° ≤ 2θ ≤ 70°), in order of rising 2θ:
- 17.26°, rel. 100
- 29.98°, rel. 49
- 34.16°, rel. 29
- 34.45°, rel. 28
- 34.77°, rel. 28
- 34.93°, rel. 12
- 35.43°, rel. 16
- 42.47°, rel. 32
- 43.26°, rel. 39
- 55.91°, rel. 20
- 56.59°, rel. 10
- 61.34°, rel. 14

Structure:
abc: 3.338 3.338 5.838
angles: 115.12 115.12 53.36
Fractional positions:
Li 0.000 0.000 0.000
Ag 0.000 0.000 0.500
O 0.399 0.399 0.228
O 0.601 0.601 0.772

=====

BaLaBr5: simulated powder X-ray diffraction pattern (Cu Kα), based on a structure optimized by DFT (GGA-PBE).

The 12 most intense peaks (5° ≤ 2θ ≤ 70°), in order of rising 2θ:
- 12.52°, rel. 100
- 25.16°, rel. 77
- 28.62°, rel. 44
- 29.36°, rel. 28
- 29.47°, rel. 22
- 31.69°, rel. 65
- 32.16°, rel. 29
- 34.13°, rel. 26
- 38.01°, rel. 23
- 38.36°, rel. 52
- 38.52°, rel. 25
- 39.08°, rel. 32

Structure:
abc: 8.352 4.692 13.836
angles: 90.00 91.41 90.00
Fractional positions:
Ba 0.062 0.250 0.345
Ba 0.938 0.750 0.655
La 0.432 0.750 0.152
La 0.568 0.250 0.848
Br 0.078 0.750 0.162
Br 0.159 0.250 0.574
Br 0.324 0.250 0.017
Br 0.362 0.750 0.359
Br 0.363 0.750 0.786
Br 0.637 0.250 0.214
Br 0.638 0.250 0.641
Br 0.676 0.750 0.983
Br 0.841 0.750 0.426
Br 0.922 0.250 0.838

=====

Ag3PO4: simulated powder X-ray diffraction pattern (Cu Kα), based on a structure optimized by DFT (GGA-PBE).

The 12 most intense peaks (5° ≤ 2θ ≤ 70°), in order of rising 2θ:
- 20.54°, rel. 9
- 29.20°, rel. 10
- 32.74°, rel. 100
- 35.97°, rel. 31
- 41.77°, rel. 3
- 46.98°, rel. 9
- 51.78°, rel. 17
- 54.06°, rel. 23
- 56.28°, rel. 18
- 60.56°, rel. 8
- 64.66°, rel. 3
- 68.63°, rel. 5

Structure:
abc: 6.116 6.116 6.116
angles: 90.00 90.00 90.00
Fractional positions:
Ag 0.000 0.250 0.500
Ag 0.000 0.750 0.500
Ag 0.250 0.500 0.000
Ag 0.500 0.000 0.250
Ag 0.500 0.000 0.750
Ag 0.750 0.500 0.000
P 0.000 0.000 0.000
P 0.500 0.500 0.500
O 0.148 0.148 0.852
O 0.148 0.852 0.148
O 0.352 0.352 0.352
O 0.352 0.648 0.648
O 0.648 0.352 0.648
O 0.648 0.648 0.352
O 0.852 0.148 0.148
O 0.852 0.852 0.852